Entry 1:
Diffraction record for Sr8Ni2Hg. The powder diffraction line list is theoretical, not measured: it uses a structure optimized by DFT (GGA-PBE) and Cu Kα (λ = 1.5418 Å).
Neutral-atom scattering factors, no anomalous dispersion.

```
data_Sr8Ni2Hg
_chemical_formula_sum 'Sr8 Ni2 Hg1'
_cell_length_a 6.356
_cell_length_b 9.619
_cell_length_c 9.623
_cell_angle_alpha 60.03
_cell_angle_beta 89.99
_cell_angle_gamma 90.00
_space_group_name_H-M_alt 'P -1'
_space_group_IT_number 2
_space_group_name_Hall '-P 1'
loop_
_atom_site_label
_atom_site_type_symbol
_atom_site_fract_x
_atom_site_fract_y
_atom_site_fract_z
_atom_site_occupancy
Sr1 Sr 0.244 0.167 0.167 1
Sr2 Sr 0.255 0.166 0.666 1
Sr3 Sr 0.255 0.666 0.668 1
Sr4 Sr 0.255 0.668 0.166 1
Ni1 Ni 0.255 0.833 0.833 1
Hg1 Hg 0.000 0.500 0.500 1
```

Main lines, sorted by position (5° ≤ 2θ ≤ 70°):
d 8.333, rel. 20, (0 1 1)
d 5.054, rel. 42, (1 1 1)
d 4.811, rel. 41, (0 2 1)
d 3.836, rel. 18, (1 1 2)
d 3.485, rel. 100, (1 2 2)
d 2.822, rel. 20, (1 2 3)
d 2.527, rel. 56, (2 2 0)
d 2.406, rel. 68, (0 4 2)
d 1.980, rel. 21, (1 4 0)
d 1.918, rel. 25, (2 4 2)

***

Entry 2:
Diffraction record for TaNiHg. The powder diffraction line list is theoretical, not measured: it uses a structure optimized by DFT (GGA-PBE) and Cu Kα (λ = 1.5418 Å).
Neutral-atom scattering factors, no anomalous dispersion.

```
data_TaNiHg
_chemical_formula_sum 'Ta4 Ni4 Hg4'
_cell_length_a 2.916
_cell_length_b 16.326
_cell_length_c 4.192
_cell_angle_alpha 90.00
_cell_angle_beta 90.00
_cell_angle_gamma 90.00
_space_group_name_H-M_alt 'C m c m'
_space_group_IT_number 63
_space_group_name_Hall '-C 2c 2'
loop_
_atom_site_label
_atom_site_type_symbol
_atom_site_fract_x
_atom_site_fract_y
_atom_site_fract_z
_atom_site_occupancy
Ta1 Ta 0.000 0.090 0.250 1
Ni1 Ni 0.000 0.459 0.250 1
Hg1 Hg 0.000 0.298 0.250 1
```

Main lines, sorted by position (5° ≤ 2θ ≤ 70°):
d 2.924, rel. 69, (0 4 1)
d 2.369, rel. 100, (1 1 1)
d 2.282, rel. 46, (0 6 1)
d 2.191, rel. 8, (1 3 1)
d 2.175, rel. 64, (1 5 0)
d 2.096, rel. 37, (0 0 2)
d 1.931, rel. 9, (1 5 1)
d 1.509, rel. 41, (1 5 2)
d 1.458, rel. 12, (2 0 0)
d 1.446, rel. 22, (1 9 1)

***

Entry 3:
Diffraction record for TaNi6Hg. The powder diffraction line list is theoretical, not measured: it uses a structure optimized by DFT (GGA-PBE) and Cu Kα (λ = 1.5418 Å).
Neutral-atom scattering factors, no anomalous dispersion.

```
data_TaNi6Hg
_chemical_formula_sum 'Ta8 Ni48 Hg8'
_cell_length_a 7.431
_cell_length_b 10.493
_cell_length_c 10.518
_cell_angle_alpha 90.00
_cell_angle_beta 90.00
_cell_angle_gamma 90.00
_space_group_name_H-M_alt 'C m m m'
_space_group_IT_number 65
_space_group_name_Hall '-C 2 2'
loop_
_atom_site_label
_atom_site_type_symbol
_atom_site_fract_x
_atom_site_fract_y
_atom_site_fract_z
_atom_site_occupancy
Ta1 Ta 0.000 0.000 0.250 1
Ta2 Ta 0.000 0.247 0.000 1
Ni1 Ni 0.000 0.000 0.000 1
Ni2 Ni 0.000 0.000 0.500 1
Ni3 Ni 0.000 0.245 0.242 1
Ni4 Ni 0.000 0.500 0.000 1
Ni5 Ni 0.000 0.500 0.500 1
Ni6 Ni 0.242 0.123 0.369 1
Ni7 Ni 0.246 0.127 0.121 1
Hg1 Hg 0.000 0.254 0.500 1
Hg2 Hg 0.000 0.500 0.250 1
```

Main lines, sorted by position (5° ≤ 2θ ≤ 70°):
d 3.715, rel. 34, (2 0 0)
d 2.627, rel. 28, (0 0 4)
d 2.145, rel. 100, (2 4 0)
d 1.857, rel. 48, (4 0 0)
d 1.662, rel. 13, (0 2 6)
d 1.659, rel. 2, (0 6 2)
d 1.517, rel. 8, (4 0 4)
d 1.515, rel. 4, (2 6 2)